# 1
This entry pairs a crystal structure of Zr11VO24 with its theoretical powder X-ray diffraction pattern. Radiation: λ = 1.5418 Å (Cu Kα). Structure: the GGA+U geometry in the Materials Project.
Peak positions follow from Bragg's law for the DFT cell and can differ from measured ones.

Top 10 peaks for 10° ≤ 2θ ≤ 90°, by intensity:
2theta  Rel. int.
27.86  100
31.19  35
31.30  34
33.77  21
35.07  15
40.32  14
53.74  14
49.96  14
59.33  13
54.73  12

```
36
Lattice="6.8274 0.0000 0.0000 -3.2431 6.6265 0.0000 -0.2780 -0.7276 9.6148" Properties=species:S:1:pos:R:3 pbc="T T T"
Zr 0.0000 0.0000 0.0000
Zr -1.8207 2.9215 9.1997
Zr -1.7716 4.6739 6.1973
Zr -0.0438 1.6758 5.7153
Zr -0.0152 4.1595 3.2225
Zr 1.7276 1.1766 2.7710
Zr 1.5337 2.1677 9.3558
Zr 3.2531 1.6941 6.4554
Zr 1.7389 5.3440 6.0108
Zr 4.9999 0.4908 2.9238
Zr 3.5258 4.1363 2.5259
V 0.1060 5.7782 8.9345
O -1.5589 2.6276 6.9571
O -3.0848 6.3916 2.1498
O 0.1345 -0.3686 5.9346
O -1.9906 4.3116 4.1371
O -1.3288 3.9995 1.6185
O -0.4676 1.3346 9.4681
O -0.2747 1.9147 3.5439
O -2.0350 4.9352 8.4080
O 2.0338 0.8744 0.5161
O 0.2141 3.9350 5.3983
O 1.2695 1.8809 7.3315
O 0.1670 3.9069 9.0762
O 1.9329 1.5295 4.8233
O -0.2040 6.2143 3.0543
O -0.2370 6.0826 6.8533
O 1.5133 3.2099 1.9831
O 1.9982 5.0865 3.7432
O 3.4956 1.4587 8.6175
O 4.7416 0.1548 0.8540
O 3.7068 2.0885 2.6956
O 1.8984 5.7264 8.0656
O 3.0636 3.7623 6.2913
O 3.2910 4.3789 0.3403
O 4.7617 0.7493 5.1928
```

# 2
This entry pairs a crystal structure of Zr3V3O with its theoretical powder X-ray diffraction pattern. Radiation: λ = 1.5418 Å (Cu Kα). Structure: the GGA+U geometry in the Materials Project.
Peak positions follow from Bragg's law for the DFT cell and can differ from measured ones.

Top 10 peaks for 10° ≤ 2θ ≤ 90°, by intensity:
2theta  Rel. int.
37.54  100
35.32  47
63.39  42
41.01  26
31.32  19
76.07  17
64.86  9
52.49  9
60.91  8
56.80  7

```
28
Lattice="0.0000 6.2249 6.2249 6.2249 0.0000 6.2249 6.2249 6.2249 0.0000" Properties=species:S:1:pos:R:3 pbc="T T T"
Zr 4.6687 4.6687 0.7904
Zr 4.6687 0.7904 4.6687
Zr 8.5469 4.6687 4.6687
Zr 7.7811 7.7811 3.9029
Zr 7.7811 3.9029 7.7811
Zr 11.6593 7.7811 7.7811
Zr 0.7904 4.6687 4.6687
Zr 4.6687 8.5469 4.6687
Zr 4.6687 4.6687 8.5469
Zr 3.9029 7.7811 7.7811
Zr 7.7811 11.6593 7.7811
Zr 7.7811 7.7811 11.6593
V 6.2249 3.1124 3.1124
V 3.6331 3.6331 3.6331
V 5.7042 5.7042 3.6331
V 5.7042 3.6331 5.7042
V 8.8167 6.7455 6.7455
V 3.1124 6.2249 3.1124
V 3.1124 3.1124 6.2249
V 6.2249 6.2249 6.2249
V 3.6331 5.7042 5.7042
V 6.7455 8.8167 6.7455
V 6.7455 6.7455 8.8167
V 8.8167 8.8167 8.8167
O 0.0000 0.0000 0.0000
O 3.1124 3.1124 0.0000
O 3.1124 0.0000 3.1124
O 0.0000 3.1124 3.1124
```